# CaNdCrO4
Calculated X-ray diffraction stick pattern, copper Kα. Input: a GGA+U-relaxed structure.
No peak broadening, texture or thermal motion is included.

Structure:
```
CaNdCrO4
1.0
5.9761 -2.7321 0.0000
5.9761 2.7321 0.0000
-0.0255 0.0000 5.5937
Ca Nd Cr O
2 2 2 8
Direct
0.1427 0.1427 0.0143
0.8573 0.8573 0.9857
0.3584 0.3584 0.5206
0.6416 0.6416 0.4794
0.0000 0.0000 0.5000
0.5000 0.5000 0.0000
0.1700 0.1700 0.4408
0.2336 0.7240 0.2557
0.2760 0.7664 0.7443
0.3301 0.3301 0.9348
0.6699 0.6699 0.0652
0.7240 0.2336 0.2557
0.7664 0.2760 0.7443
0.8300 0.8300 0.5592
```

Most intense lines, 2θ = 5–70°, in order of rising 2θ:
15.84 deg, d = 5.594 Å, I = 43
17.85 deg, d = 4.969 Å, I = 27
32.02 deg, d = 2.796 Å, I = 100
32.13 deg, d = 2.786 Å, I = 52
32.78 deg, d = 2.732 Å, I = 43
46.46 deg, d = 1.954 Å, I = 45